# 1
This entry pairs a crystal structure of FeSi2O6 with its theoretical X-ray diffraction stick pattern. Radiation: Cu Ka. Structure: a DFT-relaxed cell (PBE+U, the Materials Project).

The 6 most intense peaks (2θ = 15–90°), in order of rising 2θ:
two_theta	d_spacing	I_rel
19.7	4.516	79
20.4	4.352	100
21.3	4.179	52
27.7	3.222	96
35.9	2.504	94
36.5	2.464	45

Atomic structure:
Unit cell a=5.328 b=5.328 c=19.430 alpha=92.80 beta=92.80 gamma=120.86
Atoms (fractional coordinates):
Fe: 0.163 0.330 0.000
Fe: 0.330 0.163 0.500
Fe: 0.670 0.837 0.500
Fe: 0.837 0.670 0.000
Si: 0.107 0.600 0.855
Si: 0.289 0.447 0.355
Si: 0.400 0.893 0.645
Si: 0.447 0.289 0.855
Si: 0.553 0.711 0.145
Si: 0.600 0.107 0.355
Si: 0.711 0.553 0.645
Si: 0.893 0.400 0.145
O: 0.021 0.124 0.551
O: 0.064 0.728 0.665
O: 0.109 0.588 0.940
O: 0.124 0.021 0.051
O: 0.235 0.564 0.176
O: 0.260 0.427 0.823
O: 0.272 0.936 0.835
O: 0.365 0.493 0.440
O: 0.412 0.891 0.560
O: 0.427 0.260 0.323
O: 0.436 0.765 0.324
O: 0.493 0.365 0.940
O: 0.507 0.635 0.060
O: 0.564 0.235 0.676
O: 0.573 0.740 0.677
O: 0.588 0.109 0.440
O: 0.635 0.507 0.560
O: 0.728 0.064 0.165
O: 0.740 0.573 0.177
O: 0.765 0.436 0.824
O: 0.876 0.979 0.949
O: 0.891 0.412 0.060
O: 0.936 0.272 0.335
O: 0.979 0.876 0.449

=====

# 2
This entry pairs a crystal structure of Fe4SiO9 with its theoretical X-ray diffraction stick pattern. Radiation: Cu Ka. Structure: a DFT-relaxed cell (PBE+U, the Materials Project).

The 6 most intense peaks (2θ = 15–90°), in order of rising 2θ:
two_theta	d_spacing	I_rel
23.6	3.777	100
34.0	2.637	35
35.6	2.524	72
38.1	2.365	54
54.6	1.681	29
59.8	1.546	34

Atomic structure:
Unit cell a=15.423 b=15.423 c=15.423 alpha=20.00 beta=20.00 gamma=20.00
Atoms (fractional coordinates):
Fe: 0.000 0.000 0.000
Fe: 0.073 0.732 0.399
Fe: 0.238 0.563 0.905
Fe: 0.399 0.073 0.732
Fe: 0.500 0.500 0.500
Fe: 0.563 0.905 0.238
Fe: 0.732 0.399 0.073
Fe: 0.905 0.238 0.563
Si: 0.669 0.669 0.669
Si: 0.836 0.836 0.836
O: 0.044 0.044 0.044
O: 0.068 0.429 0.764
O: 0.129 0.784 0.560
O: 0.215 0.215 0.215
O: 0.245 0.910 0.607
O: 0.354 0.696 0.924
O: 0.382 0.382 0.382
O: 0.429 0.764 0.068
O: 0.544 0.544 0.544
O: 0.560 0.129 0.784
O: 0.607 0.245 0.910
O: 0.696 0.924 0.354
O: 0.707 0.707 0.707
O: 0.764 0.068 0.429
O: 0.784 0.560 0.129
O: 0.874 0.874 0.874
O: 0.910 0.607 0.245
O: 0.924 0.354 0.696

=====

# 3
This entry pairs a crystal structure of FeSi2O6 with its theoretical X-ray diffraction stick pattern. Radiation: Cu Ka. Structure: a DFT-relaxed cell (PBE+U, the Materials Project).

The 6 most intense peaks (2θ = 15–90°), in order of rising 2θ:
two_theta	d_spacing	I_rel
19.8	4.487	79
20.2	4.390	50
24.8	3.585	36
29.6	3.016	100
30.9	2.897	68
35.4	2.533	35

Atomic structure:
Unit cell a=6.559 b=6.559 c=5.363 alpha=104.11 beta=104.11 gamma=84.02
Atoms (fractional coordinates):
Fe: 0.101 0.899 0.750
Fe: 0.899 0.101 0.250
Si: 0.211 0.382 0.741
Si: 0.382 0.211 0.241
Si: 0.618 0.789 0.759
Si: 0.789 0.618 0.259
O: 0.043 0.189 0.635
O: 0.096 0.616 0.782
O: 0.189 0.043 0.135
O: 0.356 0.357 0.028
O: 0.357 0.356 0.528
O: 0.384 0.904 0.718
O: 0.616 0.096 0.282
O: 0.643 0.644 0.472
O: 0.644 0.643 0.972
O: 0.811 0.957 0.865
O: 0.904 0.384 0.218
O: 0.957 0.811 0.365

=====

# 4
This entry pairs a crystal structure of FeSi2O6 with its theoretical X-ray diffraction stick pattern. Radiation: Cu Ka. Structure: a DFT-relaxed cell (PBE+U, the Materials Project).

The 6 most intense peaks (2θ = 15–90°), in order of rising 2θ:
two_theta	d_spacing	I_rel
19.9	4.466	81
20.5	4.323	49
25.0	3.557	38
30.0	2.978	100
31.5	2.839	66
35.4	2.535	37

Atomic structure:
Unit cell a=9.285 b=8.646 c=5.371 alpha=90.00 beta=103.81 gamma=90.00
Atoms (fractional coordinates):
Fe: 0.250 0.147 0.009
Fe: 0.250 0.353 0.509
Fe: 0.750 0.647 0.491
Fe: 0.750 0.853 0.991
Si: 0.051 0.665 0.311
Si: 0.051 0.835 0.811
Si: 0.456 0.666 0.705
Si: 0.456 0.834 0.205
Si: 0.544 0.166 0.795
Si: 0.544 0.334 0.295
Si: 0.949 0.165 0.189
Si: 0.949 0.335 0.689
O: 0.111 0.747 0.083
O: 0.111 0.753 0.583
O: 0.112 0.014 0.835
O: 0.112 0.486 0.335
O: 0.133 0.175 0.268
O: 0.133 0.325 0.768
O: 0.358 0.182 0.722
O: 0.358 0.318 0.222
O: 0.395 0.739 0.939
O: 0.395 0.761 0.439
O: 0.397 0.013 0.168
O: 0.397 0.487 0.668
O: 0.603 0.513 0.332
O: 0.603 0.987 0.832
O: 0.605 0.239 0.561
O: 0.605 0.261 0.061
O: 0.642 0.682 0.778
O: 0.642 0.818 0.278
O: 0.867 0.675 0.232
O: 0.867 0.825 0.732
O: 0.888 0.514 0.665
O: 0.888 0.986 0.165
O: 0.889 0.247 0.417
O: 0.889 0.253 0.917

=====

# 5
This entry pairs a crystal structure of FeSiO3 with its theoretical X-ray diffraction stick pattern. Radiation: Cu Ka. Structure: a DFT-relaxed cell (PBE+U, the Materials Project).

The 6 most intense peaks (2θ = 15–90°), in order of rising 2θ:
two_theta	d_spacing	I_rel
27.1	3.287	45
28.6	3.118	100
30.3	2.947	63
33.6	2.665	78
35.4	2.538	55
40.8	2.212	53

Atomic structure:
Unit cell a=5.392 b=6.777 c=6.789 alpha=86.18 beta=75.73 gamma=75.75
Atoms (fractional coordinates):
Fe: 0.249 0.246 0.254
Fe: 0.250 0.598 0.902
Fe: 0.750 0.402 0.098
Fe: 0.751 0.754 0.746
Si: 0.231 0.713 0.385
Si: 0.269 0.115 0.787
Si: 0.731 0.885 0.213
Si: 0.769 0.287 0.615
O: 0.035 0.127 0.665
O: 0.134 0.640 0.618
O: 0.160 0.289 0.964
O: 0.340 0.536 0.211
O: 0.366 0.881 0.860
O: 0.465 0.835 0.373
O: 0.535 0.165 0.627
O: 0.634 0.119 0.140
O: 0.660 0.464 0.789
O: 0.840 0.711 0.036
O: 0.866 0.360 0.382
O: 0.965 0.873 0.335